Entry 1:
Diffraction record for Ho5InRh. The X-ray diffraction stick pattern is calculated, not measured: it uses a crystal structure in Alexandria, relaxed with GGA-PBE and Cu Kα X-rays.
Neutral-atom scattering factors, no anomalous dispersion.

Main lines, in order of rising 2θ (10 to 80 degrees two-theta):
two_theta, I/Imax
27.8, 29
28.2, 32
30.9, 88
31.4, 79
31.8, 62
32.3, 100
32.9, 33
33.9, 47
36.1, 32
42.7, 28

Cell and atoms:
Cell: 6.3689 6.3689 11.3405 Å, 105.70 105.70 65.66°
Positions (direct):
Ho (0.0164, 0.9836, 0.7500)
Ho (0.0403, 0.4055, 0.6381)
Ho (0.2102, 0.5386, 0.9514)
Ho (0.4055, 0.0403, 0.1381)
Ho (0.4614, 0.7898, 0.5486)
Ho (0.5386, 0.2102, 0.4514)
Ho (0.5945, 0.9597, 0.8619)
Ho (0.7898, 0.4614, 0.0486)
Ho (0.9597, 0.5945, 0.3619)
Ho (0.9836, 0.0164, 0.2500)
In (0.4599, 0.5401, 0.2500)
In (0.5401, 0.4599, 0.7500)
Rh (0.0000, 0.0000, 0.0000)
Rh (0.0000, 0.0000, 0.5000)

***

Entry 2:
Diffraction record for Ho2In5Rh3. The X-ray diffraction stick pattern is calculated, not measured: it uses a crystal structure in Alexandria, relaxed with GGA-PBE and Cu Kα X-rays.
Neutral-atom scattering factors, no anomalous dispersion.

Main lines, in order of rising 2θ (10 to 80 degrees two-theta):
two_theta, I/Imax
32.0, 26
33.5, 100
36.2, 29
36.8, 18
40.9, 33
42.5, 12
43.8, 11
55.7, 11
63.5, 10
69.8, 12

Cell and atoms:
Cell: 13.3963 13.3963 7.2875 Å, 90.00 90.00 161.03°
Positions (direct):
Ho (0.0265, 0.9735, 0.5000)
Ho (0.3237, 0.6763, 0.3870)
Ho (0.6763, 0.3237, 0.8870)
Ho (0.9735, 0.0265, 0.0000)
In (0.0972, 0.9028, 0.1110)
In (0.2065, 0.7935, 0.5850)
In (0.2082, 0.7918, 0.1789)
In (0.3736, 0.6264, 0.9520)
In (0.4463, 0.5537, 0.3306)
In (0.5537, 0.4463, 0.8306)
In (0.6264, 0.3736, 0.4520)
In (0.7918, 0.2082, 0.6789)
In (0.7935, 0.2065, 0.0850)
In (0.9028, 0.0972, 0.6110)
Rh (0.1108, 0.8892, 0.7286)
Rh (0.2691, 0.7309, 0.8795)
Rh (0.4571, 0.5429, 0.7164)
Rh (0.5429, 0.4571, 0.2164)
Rh (0.7309, 0.2691, 0.3795)
Rh (0.8892, 0.1108, 0.2286)

***

Entry 3:
Diffraction record for Ho4In3Rh. The X-ray diffraction stick pattern is calculated, not measured: it uses a crystal structure in Alexandria, relaxed with GGA-PBE and Cu Kα X-rays.
Neutral-atom scattering factors, no anomalous dispersion.

Main lines, in order of rising 2θ (10 to 80 degrees two-theta):
two_theta, I/Imax
30.5, 5
34.0, 100
36.3, 48
45.2, 8
52.2, 17
54.5, 6
59.3, 13
63.8, 33
69.9, 7
71.5, 8

Cell and atoms:
Cell: 3.5043 3.5043 16.0391 Å, 90.00 90.00 90.00°
Positions (direct):
Ho (0.0000, 0.0000, 0.1020)
Ho (0.0000, 0.0000, 0.3686)
Ho (0.0000, 0.0000, 0.6314)
Ho (0.0000, 0.0000, 0.8980)
In (0.5000, 0.5000, 0.2380)
In (0.5000, 0.5000, 0.5000)
In (0.5000, 0.5000, 0.7620)
Rh (0.5000, 0.5000, 0.0000)